Calculated X-ray powder pattern
Compound: EuAs3
Radiation: Cu Ka
Structure: a cell relaxed with PBE
Kinematic intensities with the Lorentz-polarization factor, no thermal factor.

Principal peaks in the range 2θ from 10° to 90°, most intense first:
2theta, intensity
31.50, 100
32.92, 54
33.55, 33
25.40, 31
42.23, 25
39.06, 24
32.08, 20
47.62, 19
53.42, 17
69.48, 16

Structural model:
Lattice parameters (Å, degrees): 9.4172 7.6389 5.7601 90.00 111.95 90.00
Space group C2/m (No. 12)
Asymmetric unit:
Eu 0.1655 0.0000 0.3297 x4
As 0.0109 0.5000 0.2267 x4
As 0.1384 0.2243 0.7986 x8

=====

Calculated X-ray powder pattern
Compound: Sr4Br6O
Radiation: Cu Ka
Structure: a cell relaxed with PBE
Kinematic intensities with the Lorentz-polarization factor, no thermal factor.

Principal peaks in the range 2θ from 10° to 90°, most intense first:
2theta, intensity
31.15, 100
29.68, 95
33.17, 69
35.93, 59
58.88, 29
36.64, 28
36.08, 26
40.99, 26
54.32, 22
23.60, 21

Structural model:
Lattice parameters (Å, degrees): 9.9966 9.9966 7.6716 90.00 90.00 120.00
Space group P6_3mc (No. 186)
Asymmetric unit:
Sr 0.2011 0.4022 0.0000 x6
Sr 0.3333 0.6667 0.5877 x2
Br 0.0695 0.5348 0.2961 x6
Br 0.1392 0.2783 0.6173 x6
O 0.3333 0.6667 0.8999 x2

=====

Calculated X-ray powder pattern
Compound: YAu2
Radiation: Cu Ka
Structure: a cell relaxed with PBE
Kinematic intensities with the Lorentz-polarization factor, no thermal factor.

Principal peaks in the range 2θ from 10° to 90°, most intense first:
2theta, intensity
38.07, 100
33.77, 69
63.26, 46
48.50, 25
71.46, 16
25.66, 14
81.00, 12
81.42, 11
83.55, 11
71.03, 8

Structural model:
Lattice parameters (Å, degrees): 3.7536 3.7536 9.1303 90.00 90.00 90.00
Space group I4/mmm (No. 139)
Asymmetric unit:
Y 0.0000 0.0000 0.0000 x2
Au 0.0000 0.0000 0.3348 x4

=====

Calculated X-ray powder pattern
Compound: Sm5Ga3
Radiation: Cu Ka
Structure: a cell relaxed with PBE
Kinematic intensities with the Lorentz-polarization factor, no thermal factor.

Principal peaks in the range 2θ from 10° to 90°, most intense first:
2theta, intensity
31.67, 100
36.50, 43
33.79, 41
52.00, 18
56.19, 16
26.33, 16
29.50, 15
32.53, 15
37.20, 14
51.33, 12

Structural model:
Lattice parameters (Å, degrees): 7.7844 7.7844 14.5010 90.00 90.00 90.00
Space group I4/mcm (No. 140)
Asymmetric unit:
Sm 0.0000 0.0000 0.0000 x4
Sm 0.1715 0.3285 0.1481 x16
Ga 0.0000 0.0000 0.2500 x4
Ga 0.1199 0.3801 0.5000 x8

=====

Calculated X-ray powder pattern
Compound: NdP2Ru2
Radiation: Cu Ka
Structure: a cell relaxed with PBE
Kinematic intensities with the Lorentz-polarization factor, no thermal factor.

Principal peaks in the range 2θ from 10° to 90°, most intense first:
2theta, intensity
35.95, 100
44.42, 33
34.78, 29
76.23, 28
64.63, 27
23.56, 21
58.42, 15
50.88, 14
57.61, 13
69.81, 8

Structural model:
Lattice parameters (Å, degrees): 4.0789 4.0789 9.9913 90.00 90.00 90.00
Space group I4/mmm (No. 139)
Asymmetric unit:
Nd 0.0000 0.0000 0.0000 x2
P 0.0000 0.0000 0.3689 x4
Ru 0.0000 0.5000 0.2500 x4

=====

Calculated X-ray powder pattern
Compound: BaSrPrTiO6
Radiation: Cu Ka
Structure: a cell relaxed with PBE
Kinematic intensities with the Lorentz-polarization factor, no thermal factor.

Principal peaks in the range 2θ from 10° to 90°, most intense first:
2theta, intensity
29.57, 100
52.46, 43
42.35, 20
84.98, 15
69.66, 12
61.35, 12
17.98, 10
42.22, 10
34.82, 10
84.84, 7

Structural model:
Lattice parameters (Å, degrees): 8.5336 8.5384 8.5614 90.00 90.00 90.00
Space group P222 (No. 16)
Asymmetric unit:
Ba 0.0000 0.0000 0.0000 x1
Ba 0.0000 0.0000 0.5000 x1
Ba 0.0000 0.5000 0.0000 x1
Ba 0.5000 0.5000 0.5000 x1
Sr 0.0000 0.5000 0.5000 x1
Sr 0.5000 0.0000 0.0000 x1
Sr 0.5000 0.0000 0.5000 x1
Sr 0.5000 0.5000 0.0000 x1
Pr 0.2531 0.2505 0.7480 x4
Ti 0.2563 0.2490 0.2540 x4
O 0.0222 0.2266 0.2744 x4
O 0.2181 0.4774 0.2912 x4
O 0.2260 0.2767 0.0217 x4
O 0.2838 0.0218 0.2142 x4
O 0.2925 0.2127 0.4767 x4
O 0.4779 0.2946 0.2142 x4

=====

Copy entry 2 word for word.
Calculated X-ray powder pattern
Compound: Sr4Br6O
Radiation: Cu Ka
Structure: a cell relaxed with PBE
Kinematic intensities with the Lorentz-polarization factor, no thermal factor.

Principal peaks in the range 2θ from 10° to 90°, most intense first:
2theta, intensity
31.15, 100
29.68, 95
33.17, 69
35.93, 59
58.88, 29
36.64, 28
36.08, 26
40.99, 26
54.32, 22
23.60, 21

Structural model:
Lattice parameters (Å, degrees): 9.9966 9.9966 7.6716 90.00 90.00 120.00
Space group P6_3mc (No. 186)
Asymmetric unit:
Sr 0.2011 0.4022 0.0000 x6
Sr 0.3333 0.6667 0.5877 x2
Br 0.0695 0.5348 0.2961 x6
Br 0.1392 0.2783 0.6173 x6
O 0.3333 0.6667 0.8999 x2